No. 1
Starting from a DFT-relaxed cell (GGA-PBE, the Materials Project), the X-ray diffraction stick pattern of ZnSi3 was simulated for Cu Kα, 1.54184 Å.
Lines closer than 0.1° are merged.

Peak list (8 most intense, 2θ from 10° to 80°, in order of rising 2θ)
22.6 deg, I 23.0
32.2 deg, I 20.0
39.7 deg, I 100.0
46.2 deg, I 47.7
52.0 deg, I 10.2
57.4 deg, I 7.3
67.4 deg, I 29.8
72.1 deg, I 4.2

Cell and atoms:
```
data_ZnSi3
_chemical_formula_sum 'Zn1 Si3'
_cell_length_a 3.9302
_cell_length_b 3.9302
_cell_length_c 3.9302
_cell_angle_alpha 90.00
_cell_angle_beta 90.00
_cell_angle_gamma 90.00
_space_group_name_H-M_alt 'P m -3 m'
_space_group_IT_number 221
_space_group_name_Hall '-P 4 2 3'
loop_
_atom_site_label
_atom_site_type_symbol
_atom_site_fract_x
_atom_site_fract_y
_atom_site_fract_z
Zn1 Zn 0.0000 0.0000 0.0000
Si1 Si 0.0000 0.5000 0.5000
```

No. 2
Starting from a DFT-relaxed cell (GGA-PBE, the Materials Project), the X-ray diffraction stick pattern of Na2CuSbF6 was simulated for Cu Kα, 1.54184 Å.
Lines closer than 0.1° are merged.

Peak list (8 most intense, 2θ from 10° to 80°, in order of rising 2θ)
20.4 deg, I 100.0
29.0 deg, I 98.9
41.5 deg, I 58.5
46.7 deg, I 42.3
51.4 deg, I 40.2
60.1 deg, I 34.3
64.2 deg, I 19.0
68.1 deg, I 17.0

Cell and atoms:
```
data_Na2CuSbF6
_chemical_formula_sum 'Na8 Cu4 Sb4 F24'
_cell_length_a 8.7046
_cell_length_b 8.7046
_cell_length_c 8.7046
_cell_angle_alpha 90.00
_cell_angle_beta 90.00
_cell_angle_gamma 90.00
_space_group_name_H-M_alt 'F m -3 m'
_space_group_IT_number 225
_space_group_name_Hall '-F 4 2 3'
loop_
_atom_site_label
_atom_site_type_symbol
_atom_site_fract_x
_atom_site_fract_y
_atom_site_fract_z
Na1 Na 0.2500 0.2500 0.2500
Cu1 Cu 0.0000 0.0000 0.0000
Sb1 Sb 0.0000 0.0000 0.5000
F1 F 0.0000 0.0000 0.2477
```